Simulated XRD peak list
Compound: La7Ta3W4O30
Radiation: Cu Kα (weighted mean of Kα1 and Kα2)
Structure: a crystal structure in Alexandria, relaxed with PBE+U
Kinematic intensities with the Lorentz-polarization factor, no thermal factor.

Structural model:
```
La7Ta3W4O30
1.0
6.916 0.000 0.000
-2.237 10.002 0.000
-2.326 -4.983 8.650
La Ta W O
7 3 4 30
direct
0.000 0.000 0.000
0.120 0.563 0.766
0.360 0.237 0.804
0.449 0.808 0.565
0.551 0.192 0.435
0.640 0.763 0.196
0.880 0.437 0.234
0.151 0.788 0.170
0.500 0.000 0.000
0.849 0.212 0.830
0.014 0.165 0.374
0.360 0.377 0.211
0.640 0.623 0.789
0.986 0.835 0.626
0.008 0.948 0.224
0.032 0.655 0.519
0.056 0.336 0.795
0.068 0.281 0.059
0.214 0.863 0.827
0.217 0.226 0.282
0.217 0.954 0.611
0.246 0.199 0.534
0.268 0.658 0.041
0.288 0.535 0.339
0.362 0.968 0.142
0.386 0.858 0.348
0.391 0.176 0.037
0.394 0.615 0.659
0.490 0.516 0.862
0.510 0.484 0.138
0.606 0.385 0.341
0.609 0.824 0.963
0.614 0.142 0.652
0.638 0.032 0.858
0.712 0.465 0.661
0.732 0.342 0.959
0.754 0.801 0.466
0.783 0.046 0.389
0.783 0.774 0.718
0.786 0.137 0.173
0.932 0.719 0.941
0.944 0.664 0.205
0.968 0.345 0.481
0.992 0.052 0.776
```

Most intense lines, 2θ from 15° to 90°, sorted by position:
| two_theta | Rel. int. | hkl |
| --- | --- | --- |
| 20.52 | 14.1 | 0 0 2 |
| 27.26 | 100.0 | 0 3 -1 |
| 30.18 | 22.5 | 2 1 -1 |
| 30.33 | 46.7 | 2 -2 1 |
| 33.77 | 15.3 | 2 -3 1 |
| 35.94 | 14.3 | 0 2 2 |
| 45.06 | 12.5 | 2 3 -4 |
| 45.19 | 13.1 | 2 -1 3 |
| 45.28 | 13.0 | -2 4 1 |
| 51.38 | 12.9 | 2 -4 4 |